Record 1
For LuAgPb, DFT lattice parameters and positions (GGA-PBE) gives the simulated PXRD pattern in this record (copper Kα).
Kinematic intensities with the Lorentz-polarization factor, no thermal factor.

Structure:
a b c (Å): 7.4625 7.4625 4.5346
angles (deg): 90.00 90.00 120.00
Space group P-62m (No. 189)
Unique sites:
1 Lu 0.0000 0.5678 0.0000 x3
2 Ag 0.0000 0.2461 0.5000 x3
3 Pb 0.0000 0.0000 0.0000 x1
4 Pb 0.3333 0.6667 0.5000 x2

Most intense lines, 2θ = 10–90°, in order of rising 2θ:
- 2θ = 23.8°, I 13, hkl 1 1 0
- 2θ = 31.0°, I 50, hkl 1 1 1
- 2θ = 34.1°, I 100, hkl 2 0 1
- 2θ = 36.8°, I 24, hkl 2 1 0
- 2θ = 39.8°, I 28, hkl 0 0 2
- 2θ = 42.0°, I 46, hkl 3 0 0
- 2θ = 55.3°, I 14, hkl 2 1 2
- 2θ = 59.2°, I 15, hkl 3 0 2
- 2θ = 66.3°, I 28, hkl 3 2 1
- 2θ = 68.5°, I 13, hkl 2 0 3

---

Record 2
For Lu2AgPt, DFT lattice parameters and positions (GGA-PBE) gives the simulated PXRD pattern in this record (copper Kα).
Kinematic intensities with the Lorentz-polarization factor, no thermal factor.

Structure:
a b c (Å): 6.969 6.969 6.969
angles (deg): 90.00 90.00 90.00
Space group Fm-3m (No. 225)
Unique sites:
1 Lu 0.250 0.250 0.250 x8
2 Ag 0.000 0.000 0.000 x4
3 Pt 0.000 0.000 0.500 x4

Most intense lines, 2θ = 10–90°, in order of rising 2θ:
- 2θ = 22.1°, I 3, hkl 1 1 1
- 2θ = 36.5°, I 100, hkl 2 2 0
- 2θ = 43.0°, I 2, hkl 3 1 1
- 2θ = 52.5°, I 18, hkl 4 0 0
- 2θ = 57.7°, I 1, hkl 3 3 1
- 2θ = 65.6°, I 36, hkl 4 2 2
- 2θ = 70.2°, I 1, hkl 5 1 1
- 2θ = 77.5°, I 11, hkl 4 4 0
- 2θ = 81.8°, I 1, hkl 5 3 1
- 2θ = 88.8°, I 17, hkl 6 2 0

---

Record 3
For Lu2AgRu, DFT lattice parameters and positions (GGA-PBE) gives the simulated PXRD pattern in this record (copper Kα).
Kinematic intensities with the Lorentz-polarization factor, no thermal factor.

Structure:
a b c (Å): 6.869 6.869 6.869
angles (deg): 90.00 90.00 90.00
Space group Fm-3m (No. 225)
Unique sites:
1 Lu 0.250 0.250 0.250 x8
2 Ag 0.000 0.000 0.000 x4
3 Ru 0.000 0.000 0.500 x4

Most intense lines, 2θ = 10–90°, in order of rising 2θ:
- 2θ = 25.9°, I 6, hkl 2 0 0
- 2θ = 37.0°, I 100, hkl 2 2 0
- 2θ = 45.8°, I 2, hkl 2 2 2
- 2θ = 53.4°, I 17, hkl 4 0 0
- 2θ = 60.3°, I 3, hkl 4 2 0
- 2θ = 66.7°, I 35, hkl 4 2 2
- 2θ = 78.8°, I 11, hkl 4 4 0
- 2θ = 84.7°, I 2, hkl 6 0 0

---

Record 4
For LuAgS2, DFT lattice parameters and positions (GGA-PBE) gives the simulated PXRD pattern in this record (copper Kα).
Kinematic intensities with the Lorentz-polarization factor, no thermal factor.

Structure:
a b c (Å): 5.370 11.837 5.372
angles (deg): 90.00 90.00 90.00
Space group Ima2 (No. 46)
Unique sites:
1 Lu 0.250 0.125 0.000 x4
2 Ag 0.250 0.628 0.013 x4
3 S 0.250 0.148 0.501 x4
4 S 0.250 0.603 0.506 x4

Most intense lines, 2θ = 10–90°, in order of rising 2θ:
- 2θ = 27.9°, I 100, hkl 1 2 1
- 2θ = 30.2°, I 50, hkl 0 4 0
- 2θ = 33.4°, I 81, hkl 2 0 0
- 2θ = 45.6°, I 62, hkl 2 4 0
- 2θ = 47.9°, I 28, hkl 2 0 2
- 2θ = 52.3°, I 21, hkl 1 6 1
- 2θ = 56.4°, I 29, hkl 3 2 1
- 2θ = 57.7°, I 30, hkl 2 4 2
- 2θ = 73.6°, I 15, hkl 3 6 1
- 2θ = 87.7°, I 19, hkl 4 4 2